# Mg2CdN2
Computed X-ray diffraction stick pattern, copper Kα. Input: a DFT-relaxed cell (GGA-PBE, the Materials Project).
Intensities are scaled so that the largest is 100.

Cell and atoms:
```
5
Lattice="3.553 0.000 0.000 -1.776 3.077 0.000 0.000 0.000 5.984" Properties=species:S:1:pos:R:3 pbc="T T T"
Mg 0.000 2.051 2.074
Mg 1.776 1.026 3.910
Cd 0.000 0.000 0.000
N 0.000 2.051 4.355
N 1.776 1.026 1.629
```

The 10 most intense peaks (2θ from 15° to 90°), by angle:
2θ = 29.02°, d = 3.077 Å, intensity 22, hkl 1 0 0; 2θ = 32.73°, d = 2.736 Å, intensity 100, hkl 0 1 1; 2θ = 42.13°, d = 2.145 Å, intensity 56, hkl 1 0 2; 2θ = 45.47°, d = 1.995 Å, intensity 11, hkl 0 0 3; 2θ = 51.44°, d = 1.776 Å, intensity 27, hkl 1 1 0; 2θ = 54.85°, d = 1.674 Å, intensity 10, hkl 0 1 3; 2θ = 62.32°, d = 1.490 Å, intensity 15, hkl 2 0 1; 2θ = 68.59°, d = 1.368 Å, intensity 12, hkl 0 2 2; 2θ = 71.06°, d = 1.327 Å, intensity 17, hkl 1 1 3; 2θ = 84.96°, d = 1.142 Å, intensity 12, hkl 1 2 1